No. 1
Structure and calculated X-ray diffraction stick pattern of AcPd4 (a cell relaxed with PBE; Cu Kα (λ = 1.5418 Å)).
Kinematic intensities with the Lorentz-polarization factor, no thermal factor.

The 8 most intense peaks (15° ≤ 2θ ≤ 90°), sorted by position:
| d/Å | intensity |
| --- | --- |
| 3.313 | 46 |
| 2.705 | 100 |
| 2.505 | 58 |
| 2.343 | 29 |
| 2.209 | 89 |
| 1.657 | 24 |
| 1.520 | 36 |
| 1.325 | 21 |

```
data_AcPd4
_cell_length_a 8.116
_cell_length_b 8.116
_cell_length_c 8.116
_cell_angle_alpha 109.47
_cell_angle_beta 109.47
_cell_angle_gamma 109.47
_symmetry_space_group_name_H-M 'P 1'
_symmetry_Int_Tables_number 1
_symmetry_space_group_name_Hall 'P 1'
loop_
_atom_site_label
_atom_site_fract_x
_atom_site_fract_y
_atom_site_fract_z
Ac1 0.000 0.000 0.555
Ac2 0.000 0.555 0.000
Ac3 0.445 0.445 0.445
Ac4 0.555 0.000 0.000
Pd1 0.000 0.000 0.206
Pd2 0.000 0.206 0.000
Pd3 0.000 0.351 0.351
Pd4 0.000 0.649 0.649
Pd5 0.206 0.000 0.000
Pd6 0.250 0.500 0.750
Pd7 0.250 0.750 0.500
Pd8 0.351 0.000 0.351
Pd9 0.351 0.351 0.000
Pd10 0.500 0.250 0.750
Pd11 0.500 0.750 0.250
Pd12 0.649 0.000 0.649
Pd13 0.649 0.649 0.000
Pd14 0.750 0.250 0.500
Pd15 0.750 0.500 0.250
Pd16 0.794 0.794 0.794
```

No. 2
Structure and calculated X-ray diffraction stick pattern of Ac7Pd3 (a cell relaxed with PBE; Cu Kα (λ = 1.5418 Å)).
Kinematic intensities with the Lorentz-polarization factor, no thermal factor.

The 8 most intense peaks (15° ≤ 2θ ≤ 90°), sorted by position:
| d/Å | intensity |
| --- | --- |
| 3.251 | 42 |
| 3.155 | 100 |
| 2.849 | 42 |
| 2.787 | 38 |
| 2.706 | 31 |
| 1.858 | 27 |
| 1.827 | 25 |
| 1.810 | 24 |

```
data_Ac7Pd3
_cell_length_a 10.825
_cell_length_b 10.825
_cell_length_c 6.932
_cell_angle_alpha 90.00
_cell_angle_beta 90.00
_cell_angle_gamma 120.00
_symmetry_space_group_name_H-M 'P 1'
_symmetry_Int_Tables_number 1
_symmetry_space_group_name_Hall 'P 1'
loop_
_atom_site_label
_atom_site_fract_x
_atom_site_fract_y
_atom_site_fract_z
Ac1 0.081 0.540 0.000
Ac2 0.125 0.251 0.314
Ac3 0.125 0.875 0.314
Ac4 0.251 0.125 0.814
Ac5 0.333 0.667 0.515
Ac6 0.460 0.540 0.000
Ac7 0.460 0.919 0.000
Ac8 0.540 0.081 0.500
Ac9 0.540 0.460 0.500
Ac10 0.667 0.333 0.015
Ac11 0.749 0.875 0.314
Ac12 0.875 0.125 0.814
Ac13 0.875 0.749 0.814
Ac14 0.919 0.460 0.500
Pd1 0.188 0.377 0.749
Pd2 0.188 0.812 0.749
Pd3 0.377 0.188 0.249
Pd4 0.623 0.812 0.749
Pd5 0.812 0.188 0.249
Pd6 0.812 0.623 0.249
```

No. 3
Structure and calculated X-ray diffraction stick pattern of Ac2Pd13 (a cell relaxed with PBE; Cu Kα (λ = 1.5418 Å)).
Kinematic intensities with the Lorentz-polarization factor, no thermal factor.

The 8 most intense peaks (15° ≤ 2θ ≤ 90°), sorted by position:
| d/Å | intensity |
| --- | --- |
| 5.486 | 29 |
| 2.743 | 30 |
| 2.434 | 25 |
| 2.391 | 58 |
| 2.213 | 100 |
| 2.106 | 25 |
| 2.061 | 37 |
| 1.288 | 23 |

```
data_Ac2Pd13
_cell_length_a 8.108
_cell_length_b 8.108
_cell_length_c 8.108
_cell_angle_alpha 55.00
_cell_angle_beta 55.00
_cell_angle_gamma 55.00
_symmetry_space_group_name_H-M 'P 1'
_symmetry_Int_Tables_number 1
_symmetry_space_group_name_Hall 'P 1'
loop_
_atom_site_label
_atom_site_fract_x
_atom_site_fract_y
_atom_site_fract_z
Ac1 0.245 0.245 0.245
Ac2 0.755 0.755 0.755
Pd1 0.000 0.000 0.000
Pd2 0.014 0.014 0.650
Pd3 0.014 0.650 0.014
Pd4 0.240 0.240 0.617
Pd5 0.240 0.617 0.240
Pd6 0.350 0.986 0.986
Pd7 0.383 0.760 0.760
Pd8 0.617 0.240 0.240
Pd9 0.650 0.014 0.014
Pd10 0.760 0.383 0.760
Pd11 0.760 0.760 0.383
Pd12 0.986 0.350 0.986
Pd13 0.986 0.986 0.350
```